No. 1
Diffraction record for LuReO3. The PXRD pattern is simulated, not measured: it uses the GGA-PBE geometry in the Materials Project and Cu Kα X-rays.

Crystal structure
Lattice parameters (Å, degrees): 3.956 3.956 3.956 90.00 90.00 90.00
Space group Pm-3m (No. 221)
Asymmetric unit:
Lu 0.000 0.000 0.000
Re 0.500 0.500 0.500
O 0.000 0.500 0.500

The 7 most intense peaks (2θ from 10° to 90°), sorted by position:
2θ = 22.5°, rel. 0.9, (1 0 0); 2θ = 32.0°, rel. 100.0, (1 1 0); 2θ = 45.9°, rel. 26.1, (2 0 0); 2θ = 57.0°, rel. 40.3, (2 1 1); 2θ = 66.9°, rel. 16.4, (2 2 0); 2θ = 76.1°, rel. 17.6, (3 1 0); 2θ = 84.9°, rel. 5.7, (2 2 2)

No. 2
Diffraction record for Lu5Re2O12. The PXRD pattern is simulated, not measured: it uses the GGA-PBE geometry in the Materials Project and Cu Kα X-rays.

Crystal structure
Lattice parameters (Å, degrees): 12.196 5.603 7.395 90.00 107.85 90.00
Space group C2/m (No. 12)
Asymmetric unit:
Lu 0.000 0.000 0.000
Lu 0.186 0.500 0.323
Lu 0.198 0.500 0.862
Re 0.000 0.215 0.500
O 0.001 0.000 0.289
O 0.001 0.500 0.683
O 0.154 0.252 0.074
O 0.168 0.256 0.588

The 10 most intense peaks (2θ from 10° to 90°), sorted by position:
2θ = 28.0°, rel. 96.4, (3 1 0); 2θ = 28.9°, rel. 100.0, (1 1 -2); 2θ = 33.5°, rel. 36.6, (4 0 -2); 2θ = 33.6°, rel. 36.4, (2 0 2); 2θ = 34.5°, rel. 22.7, (0 2 1); 2θ = 35.6°, rel. 20.9, (2 2 0); 2θ = 41.2°, rel. 24.6, (0 2 2); 2θ = 47.0°, rel. 35.5, (6 0 0); 2θ = 49.3°, rel. 23.4, (2 0 -4); 2θ = 57.6°, rel. 25.4, (5 1 -4)

No. 3
Diffraction record for LuRhO3. The PXRD pattern is simulated, not measured: it uses the GGA-PBE geometry in the Materials Project and Cu Kα X-rays.

Crystal structure
Lattice parameters (Å, degrees): 3.924 3.924 3.924 90.00 90.00 90.00
Space group Pm-3m (No. 221)
Asymmetric unit:
Lu 0.000 0.000 0.000
Rh 0.500 0.500 0.500
O 0.000 0.500 0.500

The 10 most intense peaks (2θ from 10° to 90°), sorted by position:
2θ = 22.7°, rel. 3.9, (1 0 0); 2θ = 32.3°, rel. 100.0, (1 1 0); 2θ = 39.8°, rel. 7.4, (1 1 1); 2θ = 46.3°, rel. 28.1, (2 0 0); 2θ = 52.1°, rel. 2.3, (2 1 0); 2θ = 57.5°, rel. 39.4, (2 1 1); 2θ = 67.5°, rel. 17.2, (2 2 0); 2θ = 76.8°, rel. 17.1, (3 1 0); 2θ = 81.3°, rel. 2.3, (3 1 1); 2θ = 85.8°, rel. 5.9, (2 2 2)

No. 4
Diffraction record for LuRhO3. The PXRD pattern is simulated, not measured: it uses the GGA-PBE geometry in the Materials Project and Cu Kα X-rays.

Crystal structure
Lattice parameters (Å, degrees): 5.721 7.594 5.231 90.00 90.00 90.00
Space group Pnma (No. 62)
Asymmetric unit:
Lu 0.084 0.250 0.030
Rh 0.000 0.000 0.500
O 0.060 0.750 0.356
O 0.187 0.568 0.826

The 10 most intense peaks (2θ from 10° to 90°), sorted by position:
2θ = 25.9°, rel. 22.9, (1 1 1); 2θ = 31.3°, rel. 16.4, (2 0 0); 2θ = 33.1°, rel. 100.0, (1 2 1); 2θ = 33.5°, rel. 14.2, (2 1 0); 2θ = 34.3°, rel. 23.6, (0 0 2); 2θ = 47.9°, rel. 21.1, (0 4 0); 2θ = 48.7°, rel. 13.1, (2 1 2); 2θ = 52.5°, rel. 15.6, (3 1 1); 2θ = 60.3°, rel. 16.6, (0 4 2); 2θ = 60.6°, rel. 19.1, (1 2 3)

No. 5
Diffraction record for Lu2SO2. The PXRD pattern is simulated, not measured: it uses the GGA-PBE geometry in the Materials Project and Cu Kα X-rays.

Crystal structure
Lattice parameters (Å, degrees): 3.7044 3.7044 6.4852 90.00 90.00 120.00
Space group P-3m1 (No. 164)
Asymmetric unit:
Lu 0.3333 0.6667 0.2838
S 0.0000 0.0000 0.0000
O 0.3333 0.6667 0.6295

The 10 most intense peaks (2θ from 10° to 90°), sorted by position:
2θ = 27.5°, rel. 22.7, (0 0 2); 2θ = 27.8°, rel. 20.3, (1 0 0); 2θ = 31.1°, rel. 100.0, (0 1 1); 2θ = 39.5°, rel. 29.9, (1 0 2); 2θ = 49.2°, rel. 29.0, (1 1 0); 2θ = 50.9°, rel. 23.2, (0 1 3); 2θ = 57.3°, rel. 18.4, (1 1 2); 2θ = 59.4°, rel. 16.5, (2 0 1); 2θ = 66.5°, rel. 9.3, (1 1 3); 2θ = 80.6°, rel. 14.1, (1 2 1)

No. 6
Diffraction record for Lu2S3O12. The PXRD pattern is simulated, not measured: it uses the GGA-PBE geometry in the Materials Project and Cu Kα X-rays.

Crystal structure
Lattice parameters (Å, degrees): 9.0833 9.0833 23.3698 90.00 90.00 120.00
Space group R-3c (No. 167, hexagonal axes)
Asymmetric unit:
Lu 0.0000 0.0000 0.1440
S 0.0000 0.2874 0.2500
O 0.0281 0.2082 0.1989
O 0.0276 0.2094 0.9085

The 10 most intense peaks (2θ from 10° to 90°), sorted by position:
2θ = 13.6°, rel. 37.7, (0 1 2); 2θ = 18.9°, rel. 100.0, (1 0 4); 2θ = 19.5°, rel. 83.3, (1 1 0); 2θ = 22.7°, rel. 33.2, (1 1 3); 2θ = 27.3°, rel. 58.9, (0 2 4); 2θ = 30.2°, rel. 56.8, (1 1 6); 2θ = 33.8°, rel. 39.9, (2 1 4); 2θ = 34.2°, rel. 33.9, (3 0 0); 2θ = 49.6°, rel. 25.8, (2 1 10); 2θ = 53.4°, rel. 23.3, (4 1 0)

No. 7
Diffraction record for Lu3SbO7. The PXRD pattern is simulated, not measured: it uses the GGA-PBE geometry in the Materials Project and Cu Kα X-rays.

Crystal structure
Lattice parameters (Å, degrees): 7.391 10.373 7.373 90.00 90.00 90.00
Space group C222_1 (No. 20)
Asymmetric unit:
Lu 0.016 0.000 0.000
Lu 0.234 0.265 0.751
Sb 0.001 0.500 0.500
O 0.000 0.129 0.250
O 0.000 0.140 0.750
O 0.000 0.424 0.750
O 0.192 0.371 0.035
O 0.205 0.376 0.471

The 10 most intense peaks (2θ from 10° to 90°), sorted by position:
2θ = 29.7°, rel. 100.0, (2 2 0); 2θ = 34.4°, rel. 24.2, (2 0 2); 2θ = 34.6°, rel. 11.0, (0 4 0); 2θ = 49.3°, rel. 6.8, (4 0 0); 2θ = 49.4°, rel. 8.2, (0 0 4); 2θ = 49.6°, rel. 28.6, (2 4 2); 2θ = 58.7°, rel. 27.5, (2 2 4); 2θ = 59.0°, rel. 12.3, (0 6 2); 2θ = 80.4°, rel. 9.5, (2 6 4); 2θ = 82.8°, rel. 6.5, (2 0 6)